The following is a simulated X-ray diffraction stick pattern of ScPaBe. It was derived from a cell relaxed with PBE, using Cu Kα.
Neutral-atom scattering factors, no anomalous dispersion.

Top 6 peaks for 2θ from 10° to 90°, sorted by position:
Position (°2θ)	I_rel
19.39	100
30.83	43
33.65	48
35.14	47
38.09	26
39.27	33

Structure:
Cell: 5.493 9.264 18.368 Å, 90.00 90.00 90.00°
Space group Fddd (No. 70, origin choice 2)
Inequivalent atoms, fractional coordinates:
Sc  0.125  0.297  0.125 (multiplicity 16)
Pa  0.125  0.125  0.545 (multiplicity 16)
Be  0.125  0.125  0.001 (multiplicity 16)